(1)
Calculated powder X-ray diffraction pattern
Compound: Tb2CoGe2
Radiation: Cu Kα (weighted mean of Kα1 and Kα2)
Structure: a structure optimized by DFT (PBE)
Intensities are scaled so that the largest is 100.

Top 6 peaks for 10 to 80 degrees two-theta, sorted by position:
| Position (°2θ) | I/Imax |
| --- | --- |
| 30.5 | 32 |
| 32.9 | 100 |
| 33.1 | 44 |
| 40.1 | 47 |
| 42.3 | 60 |
| 43.6 | 40 |

Structural model:
```
Tb2CoGe2
1.0
6.832 -2.077 0.000
6.832 2.077 0.000
-1.144 0.000 7.401
Tb Co Ge
4 2 4
Cartesian
1.792 0.000 0.022
4.463 0.000 3.072
8.056 0.000 4.329
10.727 0.000 7.379
5.480 0.000 6.159
7.039 0.000 1.242
-0.140 0.000 2.466
2.976 0.000 5.552
9.542 0.000 1.849
12.658 0.000 4.935
```

=====

(2)
Calculated powder X-ray diffraction pattern
Compound: Tb2CoGe4
Radiation: Cu Kα (weighted mean of Kα1 and Kα2)
Structure: a structure optimized by DFT (PBE)
Intensities are scaled so that the largest is 100.

Top 6 peaks for 10 to 80 degrees two-theta, sorted by position:
| Position (°2θ) | I/Imax |
| --- | --- |
| 35.0 | 100 |
| 35.5 | 23 |
| 40.3 | 20 |
| 43.6 | 21 |
| 43.9 | 21 |
| 56.4 | 15 |

Structural model:
```
Tb2CoGe4
1.0
4.121 0.000 0.000
0.000 2.074 7.986
0.000 -2.074 7.986
Tb Co Ge
2 1 4
Cartesian
0.000 0.000 0.000
2.060 0.000 3.327
0.000 0.000 12.712
0.000 0.000 5.798
0.000 0.000 10.418
2.060 0.000 8.791
2.060 0.000 13.765
```

=====

(3)
Calculated powder X-ray diffraction pattern
Compound: TbCo2Ge2
Radiation: Cu Kα (weighted mean of Kα1 and Kα2)
Structure: a structure optimized by DFT (PBE)
Intensities are scaled so that the largest is 100.

Top 6 peaks for 10 to 80 degrees two-theta, sorted by position:
| Position (°2θ) | I/Imax |
| --- | --- |
| 31.9 | 29 |
| 34.8 | 100 |
| 36.6 | 91 |
| 45.7 | 59 |
| 50.5 | 30 |
| 58.8 | 44 |

Structural model:
```
TbCo2Ge2
1.0
-1.984 1.984 5.075
1.984 -1.984 5.075
1.984 1.984 -5.075
Tb Co Ge
1 2 2
Cartesian
0.000 0.000 0.000
1.984 0.000 2.538
0.000 1.984 2.538
0.000 0.000 3.774
0.000 0.000 6.376
```

=====

(4)
Calculated powder X-ray diffraction pattern
Compound: TbCo6Ge6
Radiation: Cu Kα (weighted mean of Kα1 and Kα2)
Structure: a structure optimized by DFT (PBE)
Intensities are scaled so that the largest is 100.

Top 6 peaks for 10 to 80 degrees two-theta, sorted by position:
| Position (°2θ) | I/Imax |
| --- | --- |
| 35.2 | 71 |
| 39.9 | 39 |
| 40.9 | 55 |
| 42.2 | 100 |
| 47.2 | 45 |
| 74.4 | 36 |

Structural model:
```
TbCo6Ge6
1.0
5.099 0.000 0.000
-2.549 4.416 0.000
0.000 0.000 7.878
Tb Co Ge
1 6 6
Cartesian
0.000 0.000 0.000
-1.275 2.208 1.977
-1.275 2.208 5.902
2.549 0.000 1.977
2.549 0.000 5.902
1.275 2.208 1.977
1.275 2.208 5.902
0.000 0.000 2.717
0.000 0.000 5.161
0.000 2.944 0.000
0.000 2.944 3.939
2.549 1.472 0.000
2.549 1.472 3.939
```